Diffraction record for Mg2SiO4. The powder X-ray diffraction pattern is computed, not measured: it uses a GGA-PBE-relaxed structure and Cu Kα, 1.54184 Å.
No peak broadening, texture or thermal motion is included.

Cell and atoms:
Cell: 7.887 7.887 7.887 Å, 136.44 85.39 110.84°
Sites, in units of the cell vectors:
Mg  0.000  0.000  0.000
Mg  0.306  0.556  0.750
Mg  0.368  0.000  0.868
Mg  0.368  0.500  0.368
Mg  0.500  0.000  0.500
Mg  0.632  0.000  0.132
Mg  0.632  0.500  0.632
Mg  0.694  0.444  0.250
Si  0.016  0.626  0.390
Si  0.264  0.374  0.890
Si  0.736  0.626  0.110
Si  0.984  0.374  0.610
O  0.061  0.311  0.750
O  0.112  0.279  0.398
O  0.112  0.713  0.832
O  0.235  0.244  0.991
O  0.246  0.756  0.491
O  0.381  0.279  0.668
O  0.381  0.713  0.102
O  0.486  0.236  0.250
O  0.514  0.764  0.750
O  0.619  0.287  0.898
O  0.619  0.721  0.332
O  0.754  0.244  0.509
O  0.765  0.756  0.009
O  0.888  0.287  0.168
O  0.888  0.721  0.602
O  0.939  0.689  0.250

Largest 10 diffraction maxima, in order of falling intensity, 2θ = 10–90°:
2θ/deg  I/Imax
18.1  100
61.2  93
44.0  89
23.8  63
39.9  58
33.1  32
40.3  32
38.1  30
34.3  30
26.2  29